Tl4Hg4Bi: calculated powder XRD pattern (a wavelength of 1.5418 Å), based on a crystal structure in Alexandria, relaxed with GGA-PBE.
Intensities are scaled so that the largest is 100.

Atomic structure:
Lattice parameters (Å, degrees): 7.3609 7.3609 11.1897 90.00 90.00 90.00
Space group I-42m (No. 121)
One atom of each set of equivalent atoms:
1 Tl 0.0000 0.0000 0.1362
2 Tl 0.0000 0.5000 0.0000
3 Hg 0.2180 0.2180 0.6921
4 Bi 0.0000 0.0000 0.5000

Principal peaks in the range 2θ = 10–80°, low angle first:
- 23.34°, intensity 47
- 29.04°, intensity 100
- 34.46°, intensity 75
- 36.43°, intensity 85
- 44.18°, intensity 24
- 51.04°, intensity 28